1.
This entry pairs a crystal structure of Ba6Y2Al4O15 with its computed powder XRD pattern. Radiation: Cu Kα X-rays. Structure: DFT lattice parameters and positions (PBE).

Peak list (8 most intense, 5 to 70 degrees two-theta, by angle)
20.68 deg, rel. 42.6, hkl 0 1 3; 28.88 deg, rel. 55.9, hkl 0 0 6; 29.93 deg, rel. 54.5, hkl 0 2 0; 30.32 deg, rel. 100.0, hkl 2 1 -3; 30.96 deg, rel. 98.4, hkl 2 1 3; 42.08 deg, rel. 53.9, hkl 0 2 6; 45.64 deg, rel. 23.6, hkl 4 0 0; 51.66 deg, rel. 22.1, hkl 2 1 -9

Cell and atoms:
```
data_Ba6Y2Al4O15
_cell_length_a 7.9540
_cell_length_b 5.9701
_cell_length_c 18.5593
_cell_angle_alpha 90.00
_cell_angle_beta 91.70
_cell_angle_gamma 90.00
_space_group_name_H-M_alt 'P 1 2/c 1'
_space_group_IT_number 13
loop_
_space_group_symop_operation_xyz
'x,y,z'
'-x,-y,-z'
'-x,y,-z+1/2'
'x,-y,z+1/2'
loop_
_atom_site_label
_atom_site_type_symbol
_atom_site_fract_x
_atom_site_fract_y
_atom_site_fract_z
Ba1 Ba 0.0000 0.1706 0.2500
Ba2 Ba 0.0020 0.2582 0.9177
Ba3 Ba 0.4694 0.2454 0.9105
Ba4 Ba 0.5000 0.2260 0.2500
Y1 Y 0.2518 0.2469 0.0897
Al1 Al 0.2523 0.2494 0.4441
Al2 Al 0.2797 0.2712 0.7320
O1 O 0.0401 0.2537 0.4078
O2 O 0.1925 0.1861 0.8130
O3 O 0.2298 0.4712 0.1886
O4 O 0.2534 0.0495 0.6670
O5 O 0.2622 0.4876 0.5042
O6 O 0.2639 0.0024 0.4993
O7 O 0.4429 0.2602 0.3940
O8 O 0.5000 0.2911 0.7500
```

---

2.
This entry pairs a crystal structure of MgZr with its computed powder XRD pattern. Radiation: Cu Kα X-rays. Structure: DFT lattice parameters and positions (PBE).

Peak list (6 most intense, 5 to 70 degrees two-theta, by angle)
25.25 deg, rel. 41.3, hkl 1 0 0; 36.02 deg, rel. 100.0, hkl 1 1 0; 44.50 deg, rel. 11.6, hkl 1 1 1; 51.85 deg, rel. 17.1, hkl 2 0 0; 58.52 deg, rel. 15.2, hkl 2 1 0; 64.75 deg, rel. 34.0, hkl 2 1 1

Cell and atoms:
```
data_MgZr
_cell_length_a 3.5266
_cell_length_b 3.5266
_cell_length_c 3.5266
_cell_angle_alpha 90.00
_cell_angle_beta 90.00
_cell_angle_gamma 90.00
_space_group_name_H-M_alt 'P m -3 m'
_space_group_IT_number 221
_space_group_name_Hall '-P 4 2 3'
loop_
_atom_site_label
_atom_site_type_symbol
_atom_site_fract_x
_atom_site_fract_y
_atom_site_fract_z
Mg1 Mg 0.0000 0.0000 0.0000
Zr1 Zr 0.5000 0.5000 0.5000
```

---

3.
This entry pairs a crystal structure of SrGaSiH with its computed powder XRD pattern. Radiation: Cu Kα X-rays. Structure: DFT lattice parameters and positions (PBE).

Peak list (8 most intense, 5 to 70 degrees two-theta, by angle)
24.46 deg, rel. 11.9, hkl 1 0 0; 30.49 deg, rel. 100.0, hkl 0 1 1; 36.31 deg, rel. 14.9, hkl 0 0 2; 43.05 deg, rel. 33.9, hkl 1 1 0; 44.27 deg, rel. 10.5, hkl 1 0 2; 53.67 deg, rel. 19.8, hkl 2 0 1; 57.55 deg, rel. 22.8, hkl 1 1 2; 61.75 deg, rel. 12.4, hkl 0 1 3

Cell and atoms:
```
data_SrGaSiH
_cell_length_a 4.2021
_cell_length_b 4.2021
_cell_length_c 4.9478
_cell_angle_alpha 90.00
_cell_angle_beta 90.00
_cell_angle_gamma 120.00
_space_group_name_H-M_alt 'P 3 m 1'
_space_group_IT_number 156
loop_
_space_group_symop_operation_xyz
'x,y,z'
'-y,x-y,z'
'-x+y,-x,z'
'-y,-x,z'
'-x+y,y,z'
'x,x-y,z'
loop_
_atom_site_label
_atom_site_type_symbol
_atom_site_fract_x
_atom_site_fract_y
_atom_site_fract_z
Sr1 Sr 0.0000 0.0000 0.0000
Ga1 Ga 0.6667 0.3333 0.5508
Si1 Si 0.3333 0.6667 0.4472
H1 H 0.6667 0.3333 0.9115
```

---

4.
This entry pairs a crystal structure of CrN2 with its computed powder XRD pattern. Radiation: Cu Kα X-rays. Structure: DFT lattice parameters and positions (PBE).

Peak list (8 most intense, 5 to 70 degrees two-theta, by angle)
21.10 deg, rel. 100.0, hkl 1 0 0; 22.73 deg, rel. 44.3, hkl 0 1 1; 23.48 deg, rel. 79.2, hkl 0 0 2; 27.41 deg, rel. 32.8, hkl 1 1 -1; 28.84 deg, rel. 69.3, hkl 1 1 0; 30.65 deg, rel. 43.8, hkl 0 1 2; 30.90 deg, rel. 83.2, hkl 1 1 -2; 47.57 deg, rel. 33.7, hkl 2 1 0

Cell and atoms:
```
data_CrN2
_cell_length_a 4.6766
_cell_length_b 4.5684
_cell_length_c 8.4186
_cell_angle_alpha 90.00
_cell_angle_beta 115.81
_cell_angle_gamma 90.00
_space_group_name_H-M_alt 'P 1 c 1'
_space_group_IT_number 7
loop_
_space_group_symop_operation_xyz
'x,y,z'
'x,-y,z+1/2'
loop_
_atom_site_label
_atom_site_type_symbol
_atom_site_fract_x
_atom_site_fract_y
_atom_site_fract_z
Cr1 Cr 0.0000 0.0171 0.0000
Cr2 Cr 0.7058 0.3724 0.6219
N1 N 0.3557 0.2293 0.5923
N2 N 0.7156 0.2420 0.4210
N3 N 0.8677 0.2769 0.1014
N4 N 0.9765 0.2063 0.8154
```

---

5.
This entry pairs a crystal structure of CaGe2Ru2 with its computed powder XRD pattern. Radiation: Cu Kα X-rays. Structure: DFT lattice parameters and positions (PBE).

Peak list (8 most intense, 5 to 70 degrees two-theta, by angle)
17.65 deg, rel. 78.2, hkl 0 0 2; 33.95 deg, rel. 51.1, hkl 1 0 3; 34.53 deg, rel. 100.0, hkl 1 1 2; 42.12 deg, rel. 82.9, hkl 2 0 0; 46.00 deg, rel. 26.1, hkl 2 0 2; 46.95 deg, rel. 74.5, hkl 1 1 4; 61.09 deg, rel. 26.7, hkl 2 2 0; 63.44 deg, rel. 25.2, hkl 1 1 6

Cell and atoms:
```
data_CaGe2Ru2
_cell_length_a 4.2908
_cell_length_b 4.2908
_cell_length_c 10.0498
_cell_angle_alpha 90.00
_cell_angle_beta 90.00
_cell_angle_gamma 90.00
_space_group_name_H-M_alt 'I 4/m m m'
_space_group_IT_number 139
_space_group_name_Hall '-I 4 2'
loop_
_atom_site_label
_atom_site_type_symbol
_atom_site_fract_x
_atom_site_fract_y
_atom_site_fract_z
Ca1 Ca 0.0000 0.0000 0.0000
Ge1 Ge 0.0000 0.0000 0.3673
Ru1 Ru 0.0000 0.5000 0.2500
```